Entry 1:
Structure and simulated PXRD pattern of Te4Mo3WSe2S2 (a DFT-relaxed cell (GGA-PBE, the Materials Project); Cu Kα (weighted mean of Kα1 and Kα2)).

Top 8 peaks for 10° ≤ 2θ ≤ 90°, sorted by position:
Position (°2θ)	I/Imax
11.46	90.4
30.38	54.9
35.73	100.0
38.46	19.0
43.28	53.0
53.97	32.9
66.42	16.0
76.30	15.7

Structure:
```
Te4Mo3WSe2S2
1.0
3.3984 0.0000 0.0000
-1.6992 2.9431 0.0000
0.0000 0.0000 38.6168
Te Mo W Se S
4 3 1 2 2
Direct
0.0000 0.0000 0.0000 Te
0.0000 0.0000 0.0970 Te
0.0000 0.0000 0.3756 Te
0.0000 0.0000 0.4727 Te
0.0000 0.0000 0.2363 Mo
0.6667 0.3333 0.0484 Mo
0.6667 0.3333 0.4242 Mo
0.0000 0.0000 0.6121 W
0.6667 0.3333 0.5693 Se
0.6667 0.3333 0.6549 Se
0.6667 0.3333 0.1974 S
0.6667 0.3333 0.2752 S
```

***

Entry 2:
Structure and simulated PXRD pattern of NaZrAlP2SO12 (a DFT-relaxed cell (GGA-PBE, the Materials Project); Cu Kα (weighted mean of Kα1 and Kα2)).

Top 8 peaks for 10° ≤ 2θ ≤ 90°, sorted by position:
Position (°2θ)	I/Imax
14.06	70.6
19.74	58.8
20.46	100.0
23.47	79.9
23.62	94.5
23.87	76.5
31.14	50.7
31.74	68.6

Structure:
```
NaZrAlP2SO12
1.0
7.5040 -4.3485 0.0000
7.5040 4.3485 0.0000
-5.1685 0.0000 7.5404
Na Zr Al P S O
2 2 2 4 2 24
Direct
0.2420 0.7580 0.5000 Na
0.7580 0.2420 0.0000 Na
0.3916 0.8951 0.9477 Zr
0.8951 0.3916 0.4477 Zr
0.0758 0.6189 0.0709 Al
0.6189 0.0758 0.5709 Al
0.2224 0.9840 0.2667 P
0.7163 0.7964 0.7655 P
0.7964 0.7163 0.2655 P
0.9840 0.2224 0.7667 P
0.2992 0.4852 0.7671 S
0.4852 0.2992 0.2671 S
0.0216 0.3923 0.9317 O
0.0387 0.1544 0.2834 O
0.1354 0.4647 0.6040 O
0.1544 0.0387 0.7834 O
0.1949 0.8064 0.2355 O
0.2433 0.9662 0.1003 O
0.2633 0.5201 0.9238 O
0.3207 0.4674 0.2438 O
0.3221 0.6509 0.7782 O
0.3923 0.0216 0.4317 O
0.4647 0.1354 0.1040 O
0.4674 0.3207 0.7438 O
0.5201 0.2633 0.4238 O
0.5338 0.8228 0.7809 O
0.6264 0.7418 0.0982 O
0.6509 0.3221 0.2782 O
0.6901 0.9726 0.7415 O
0.7418 0.6264 0.5982 O
0.7629 0.8859 0.4308 O
0.8064 0.1949 0.7355 O
0.8228 0.5338 0.2809 O
0.8859 0.7629 0.9308 O
0.9662 0.2433 0.6003 O
0.9726 0.6901 0.2415 O
```

***

Entry 3:
Structure and simulated PXRD pattern of Mg6SiC (a DFT-relaxed cell (GGA-PBE, the Materials Project); Cu Kα (weighted mean of Kα1 and Kα2)).

Top 8 peaks for 10° ≤ 2θ ≤ 90°, sorted by position:
Position (°2θ)	I/Imax
32.88	25.9
38.54	18.3
39.06	100.0
39.68	29.4
52.45	13.1
59.09	9.3
71.60	15.2
73.54	9.3

Structure:
```
Mg6SiC
1.0
4.5427 0.0000 0.0000
0.0000 6.1457 0.0000
0.0000 0.0000 10.8957
Mg Si C
12 2 2
Direct
0.0000 0.0000 0.0000 Mg
0.0000 0.2176 0.2703 Mg
0.0000 0.2824 0.7703 Mg
0.0000 0.5000 0.5000 Mg
0.0000 0.7176 0.7703 Mg
0.0000 0.7824 0.2703 Mg
0.5000 0.0000 0.8204 Mg
0.5000 0.2411 0.5718 Mg
0.5000 0.2589 0.0718 Mg
0.5000 0.5000 0.3204 Mg
0.5000 0.7411 0.0718 Mg
0.5000 0.7589 0.5718 Mg
0.0000 0.0000 0.5322 Si
0.0000 0.5000 0.0322 Si
0.5000 0.0000 0.2152 C
0.5000 0.5000 0.7152 C
```

***

Entry 4:
Structure and simulated PXRD pattern of Sr2MgCuTeO6 (a DFT-relaxed cell (GGA-PBE, the Materials Project); Cu Kα (weighted mean of Kα1 and Kα2)).

Top 8 peaks for 10° ≤ 2θ ≤ 90°, sorted by position:
Position (°2θ)	I/Imax
25.31	17.6
29.33	15.4
30.38	100.0
31.11	23.2
31.28	29.4
31.95	26.8
36.54	26.1
40.95	20.3

Structure:
```
Sr2MgCuTeO6
1.0
5.7166 0.0000 0.0000
2.7687 5.2109 0.0000
1.7277 2.2440 5.3686
Sr Mg Cu Te O
2 1 1 1 6
Direct
0.0000 0.0000 0.0000 Sr
0.3797 0.4456 0.6650 Sr
0.7338 0.8063 0.5300 Mg
0.6091 0.6786 0.0611 Cu
0.1756 0.2226 0.3549 Te
0.0004 0.4228 0.0389 O
0.0232 0.9237 0.4730 O
0.3259 0.5215 0.2356 O
0.4173 0.9644 0.7285 O
0.5466 0.9686 0.2079 O
0.8625 0.4089 0.5882 O
```

***

Entry 5:
Structure and simulated PXRD pattern of U3Fe2Si7 (a DFT-relaxed cell (GGA-PBE, the Materials Project); Cu Kα (weighted mean of Kα1 and Kα2)).

Top 8 peaks for 10° ≤ 2θ ≤ 90°, sorted by position:
Position (°2θ)	I/Imax
22.03	37.7
23.29	58.2
24.87	63.3
31.78	50.7
36.73	100.0
37.16	69.7
45.05	26.2
60.06	35.3

Structure:
```
U3Fe2Si7
1.0
1.9974 -12.1066 0.0000
1.9974 12.1066 0.0000
0.0000 0.0000 4.0252
U Fe Si
3 2 7
Direct
0.0000 0.0000 0.0000 U
0.3152 0.6848 0.5000 U
0.6848 0.3152 0.5000 U
0.1277 0.8723 0.0000 Fe
0.8723 0.1277 0.0000 Fe
0.0866 0.9134 0.5000 Si
0.2218 0.7782 0.0000 Si
0.4140 0.5860 0.0000 Si
0.5000 0.5000 0.5000 Si
0.5860 0.4140 0.0000 Si
0.7782 0.2218 0.0000 Si
0.9134 0.0866 0.5000 Si
```

***

Entry 6:
Structure and simulated PXRD pattern of Sr2YReO6 (a DFT-relaxed cell (GGA-PBE, the Materials Project); Cu Kα (weighted mean of Kα1 and Kα2)).

Top 8 peaks for 10° ≤ 2θ ≤ 90°, sorted by position:
Position (°2θ)	I/Imax
18.39	12.7
21.27	12.5
30.25	100.0
43.31	31.4
53.74	40.3
62.92	19.4
71.39	17.9
87.32	21.7

Structure:
```
Sr2YReO6
1.0
0.0000 4.1781 4.1781
4.1781 0.0000 4.1781
4.1781 4.1781 0.0000
Sr Y Re O
2 1 1 6
Direct
0.2500 0.2500 0.2500 Sr
0.7500 0.7500 0.7500 Sr
0.0000 0.0000 0.0000 Y
0.5000 0.5000 0.5000 Re
0.2643 0.2643 0.7357 O
0.2643 0.7357 0.2643 O
0.2643 0.7357 0.7357 O
0.7357 0.2643 0.2643 O
0.7357 0.2643 0.7357 O
0.7357 0.7357 0.2643 O
```

***

Entry 7:
Structure and simulated PXRD pattern of ErHfF7 (a DFT-relaxed cell (GGA-PBE, the Materials Project); Cu Kα (weighted mean of Kα1 and Kα2)).

Top 8 peaks for 10° ≤ 2θ ≤ 90°, sorted by position:
Position (°2θ)	I/Imax
21.74	100.0
22.16	39.0
25.86	18.2
28.81	30.9
31.63	15.5
44.09	14.6
47.48	14.8
47.90	15.2

Structure:
```
ErHfF7
1.0
6.0518 0.0000 0.0000
0.0000 5.6578 0.0000
-1.7362 0.0000 8.0223
Er Hf F
2 2 14
Direct
0.1553 0.0000 0.1849 Er
0.8447 0.5000 0.8151 Er
0.3115 0.9897 0.7238 Hf
0.6885 0.4897 0.2762 Hf
0.0434 0.2034 0.7114 F
0.0482 0.3099 0.0234 F
0.1201 0.6947 0.7169 F
0.2554 0.9946 0.4747 F
0.3608 0.9867 0.9740 F
0.4240 0.2715 0.2684 F
0.4613 0.7546 0.2625 F
0.5387 0.2546 0.7375 F
0.5760 0.7715 0.7316 F
0.6392 0.4867 0.0260 F
0.7446 0.4946 0.5253 F
0.8799 0.1947 0.2831 F
0.9518 0.8099 0.9766 F
0.9566 0.7034 0.2886 F
```

***

Entry 8:
Structure and simulated PXRD pattern of YSeBr (a DFT-relaxed cell (GGA-PBE, the Materials Project); Cu Kα (weighted mean of Kα1 and Kα2)).

Top 8 peaks for 10° ≤ 2θ ≤ 90°, sorted by position:
Position (°2θ)	I/Imax
21.98	25.0
25.44	17.7
36.28	100.0
42.83	12.6
52.25	17.1
65.27	34.6
77.03	10.7
88.25	15.6

Structure:
```
YSeBr
1.0
7.0029 0.0000 0.0000
0.0000 7.0029 0.0000
0.0000 0.0000 7.0029
Y Se Br
4 4 4
Direct
0.0000 0.0000 0.0000 Y
0.0000 0.5000 0.5000 Y
0.5000 0.0000 0.5000 Y
0.5000 0.5000 0.0000 Y
0.2500 0.2500 0.2500 Se
0.2500 0.7500 0.7500 Se
0.7500 0.2500 0.7500 Se
0.7500 0.7500 0.2500 Se
0.0000 0.0000 0.5000 Br
0.0000 0.5000 0.0000 Br
0.5000 0.0000 0.0000 Br
0.5000 0.5000 0.5000 Br
```

***

Entry 9:
Structure and simulated PXRD pattern of Mg3Al18Mo2 (a DFT-relaxed cell (GGA-PBE, the Materials Project); Cu Kα (weighted mean of Kα1 and Kα2)).

Top 8 peaks for 10° ≤ 2θ ≤ 90°, sorted by position:
Position (°2θ)	I/Imax
10.43	78.4
20.05	36.4
34.55	30.6
40.27	58.2
40.76	100.0
42.66	30.9
44.04	46.0
72.87	31.3

Structure:
```
Mg3Al18Mo2
1.0
0.0000 7.3426 7.3426
7.3426 0.0000 7.3426
7.3426 7.3426 0.0000
Mg Al Mo
6 36 4
Direct
0.0000 0.0000 0.0000 Mg
0.0000 0.0000 0.5000 Mg
0.0000 0.5000 0.0000 Mg
0.1250 0.1250 0.1250 Mg
0.5000 0.0000 0.0000 Mg
0.8750 0.8750 0.8750 Mg
0.0590 0.3240 0.3240 Al
0.0590 0.3240 0.7929 Al
0.0590 0.7929 0.3240 Al
0.2071 0.6760 0.6760 Al
0.2071 0.6760 0.9410 Al
0.2071 0.9410 0.6760 Al
0.2344 0.2344 0.5156 Al
0.2344 0.5156 0.2344 Al
0.2344 0.5156 0.5156 Al
0.3240 0.0590 0.3240 Al
0.3240 0.0590 0.7929 Al
0.3240 0.3240 0.0590 Al
0.3240 0.3240 0.7929 Al
0.3240 0.7929 0.0590 Al
0.3240 0.7929 0.3240 Al
0.4844 0.4844 0.7656 Al
0.4844 0.7656 0.4844 Al
0.4844 0.7656 0.7656 Al
0.5156 0.2344 0.2344 Al
0.5156 0.2344 0.5156 Al
0.5156 0.5156 0.2344 Al
0.6760 0.2071 0.6760 Al
0.6760 0.2071 0.9410 Al
0.6760 0.6760 0.2071 Al
0.6760 0.6760 0.9410 Al
0.6760 0.9410 0.2071 Al
0.6760 0.9410 0.6760 Al
0.7656 0.4844 0.4844 Al
0.7656 0.4844 0.7656 Al
0.7656 0.7656 0.4844 Al
0.7929 0.0590 0.3240 Al
0.7929 0.3240 0.0590 Al
0.7929 0.3240 0.3240 Al
0.9410 0.2071 0.6760 Al
0.9410 0.6760 0.2071 Al
0.9410 0.6760 0.6760 Al
0.0000 0.5000 0.5000 Mo
0.5000 0.0000 0.5000 Mo
0.5000 0.5000 0.0000 Mo
0.5000 0.5000 0.5000 Mo
```

***

Entry 10:
Structure and simulated PXRD pattern of V5Te8 (a DFT-relaxed cell (GGA-PBE, the Materials Project); Cu Kα (weighted mean of Kα1 and Kα2)).

Top 8 peaks for 10° ≤ 2θ ≤ 90°, sorted by position:
Position (°2θ)	I/Imax
28.48	25.6
29.90	49.6
30.15	100.0
30.45	44.5
30.96	23.9
38.99	23.8
39.38	32.9
47.45	39.2

Structure:
```
V5Te8
1.0
6.2691 -3.9429 0.0000
6.2691 3.9429 0.0000
-6.1403 0.0000 6.5761
V Te
5 8
Direct
0.0000 0.0000 0.0000 V
0.2825 0.2825 0.0490 V
0.2884 0.7116 0.5000 V
0.7116 0.2884 0.5000 V
0.7175 0.7175 0.9510 V
0.0133 0.0133 0.3204 Te
0.0463 0.5392 0.8336 Te
0.4287 0.4287 0.6543 Te
0.4608 0.9537 0.1664 Te
0.5392 0.0463 0.8336 Te
0.5713 0.5713 0.3457 Te
0.9537 0.4608 0.1664 Te
0.9867 0.9867 0.6796 Te
```